Starting from a cell relaxed with PBE, the PXRD pattern of Al2Ni21B6 was computed for Cu Kα, 1.54184 Å.
No peak broadening, texture or thermal motion is included.

Structural model:
Unit cell a=7.386 b=7.386 c=7.386 alpha=60.00 beta=60.00 gamma=60.00
Element x y z (fractional)
Al  0.250  0.250  0.250
Al  0.750  0.750  0.750
Ni  0.000  0.000  0.000
Ni  0.000  0.000  0.338
Ni  0.000  0.000  0.662
Ni  0.000  0.338  0.000
Ni  0.000  0.338  0.662
Ni  0.000  0.662  0.000
Ni  0.000  0.662  0.338
Ni  0.147  0.618  0.618
Ni  0.338  0.000  0.000
Ni  0.338  0.000  0.662
Ni  0.338  0.662  0.000
Ni  0.382  0.382  0.382
Ni  0.382  0.382  0.853
Ni  0.382  0.853  0.382
Ni  0.618  0.147  0.618
Ni  0.618  0.618  0.147
Ni  0.618  0.618  0.618
Ni  0.662  0.000  0.000
Ni  0.662  0.000  0.338
Ni  0.662  0.338  0.000
Ni  0.853  0.382  0.382
B  0.273  0.273  0.727
B  0.273  0.727  0.273
B  0.273  0.727  0.727
B  0.727  0.273  0.273
B  0.727  0.273  0.727
B  0.727  0.727  0.273

Most intense lines, 2θ = 15–90°, by intensity:
two_theta  d/Å  Rel. int.
45.10  2.010  100
51.78  1.766  26
52.57  1.741  18
42.39  2.132  18
77.55  1.231  17
49.35  1.847  15
38.55  2.336  13
79.46  1.206  13
34.34  2.611  10
82.62  1.168  7

Starting from a cell relaxed with PBE, the PXRD pattern of AlNi9B8 was computed for Cu Kα, 1.54184 Å.
No peak broadening, texture or thermal motion is included.

Structural model:
Unit cell a=5.397 b=5.397 c=10.741 alpha=90.00 beta=90.00 gamma=97.44
Element x y z (fractional)
Al  0.082  0.918  0.750
Al  0.918  0.082  0.250
Ni  0.000  0.000  0.000
Ni  0.000  0.000  0.500
Ni  0.050  0.398  0.750
Ni  0.241  0.377  0.114
Ni  0.241  0.377  0.386
Ni  0.287  0.713  0.581
Ni  0.287  0.713  0.919
Ni  0.377  0.241  0.614
Ni  0.377  0.241  0.886
Ni  0.398  0.050  0.250
Ni  0.602  0.950  0.750
Ni  0.623  0.759  0.114
Ni  0.623  0.759  0.386
Ni  0.713  0.287  0.081
Ni  0.713  0.287  0.419
Ni  0.759  0.623  0.614
Ni  0.759  0.623  0.886
Ni  0.950  0.602  0.250
B  0.041  0.383  0.551
B  0.041  0.383  0.949
B  0.220  0.780  0.120
B  0.220  0.780  0.380
B  0.355  0.645  0.250
B  0.383  0.041  0.051
B  0.383  0.041  0.449
B  0.430  0.570  0.750
B  0.570  0.430  0.250
B  0.617  0.959  0.551
B  0.617  0.959  0.949
B  0.645  0.355  0.750
B  0.780  0.220  0.620
B  0.780  0.220  0.880
B  0.959  0.617  0.051
B  0.959  0.617  0.449

Most intense lines, 2θ = 15–90°, by intensity:
two_theta  d/Å  Rel. int.
47.98  1.896  100
42.16  2.143  85
45.52  1.993  58
37.49  2.399  56
30.09  2.970  51
40.48  2.229  38
43.84  2.065  34
39.56  2.278  29
33.38  2.684  27
52.66  1.738  25

Starting from a cell relaxed with PBE, the PXRD pattern of Al4B2O9 was computed for Cu Kα, 1.54184 Å.
No peak broadening, texture or thermal motion is included.

Structural model:
Unit cell a=7.993 b=7.993 c=15.165 alpha=91.12 beta=91.12 gamma=40.96
Element x y z (fractional)
Al  0.000  0.500  0.000
Al  0.000  0.500  0.500
Al  0.070  0.070  0.068
Al  0.173  0.173  0.339
Al  0.244  0.756  0.244
Al  0.244  0.756  0.756
Al  0.311  0.311  0.159
Al  0.365  0.365  0.341
Al  0.500  0.000  0.000
Al  0.500  0.000  0.500
Al  0.635  0.635  0.659
Al  0.689  0.689  0.841
Al  0.756  0.244  0.244
Al  0.756  0.244  0.756
Al  0.827  0.827  0.661
Al  0.930  0.930  0.932
B  0.109  0.109  0.610
B  0.122  0.122  0.883
B  0.366  0.366  0.636
B  0.397  0.397  0.896
B  0.603  0.603  0.104
B  0.634  0.634  0.364
B  0.878  0.878  0.117
B  0.891  0.891  0.390
O  0.038  0.603  0.106
O  0.055  0.055  0.951
O  0.072  0.072  0.282
O  0.072  0.072  0.800
O  0.119  0.545  0.602
O  0.138  0.707  0.357
O  0.175  0.175  0.547
O  0.196  0.196  0.062
O  0.218  0.649  0.865
O  0.265  0.265  0.268
O  0.293  0.862  0.643
O  0.295  0.295  0.437
O  0.331  0.331  0.957
O  0.351  0.782  0.135
O  0.397  0.962  0.894
O  0.422  0.422  0.225
O  0.431  0.431  0.701
O  0.455  0.881  0.398
O  0.545  0.119  0.602
O  0.569  0.569  0.299
O  0.578  0.578  0.775
O  0.603  0.038  0.106
O  0.649  0.218  0.865
O  0.669  0.669  0.043
O  0.705  0.705  0.563
O  0.707  0.138  0.357
O  0.735  0.735  0.732
O  0.782  0.351  0.135
O  0.804  0.804  0.938
O  0.825  0.825  0.453
O  0.862  0.293  0.643
O  0.881  0.455  0.398
O  0.928  0.928  0.200
O  0.928  0.928  0.718
O  0.945  0.945  0.049
O  0.962  0.397  0.894

Most intense lines, 2θ = 15–90°, by intensity:
two_theta  d/Å  Rel. int.
16.47  5.383  100
16.82  5.272  94
17.88  4.961  58
34.01  2.636  34
41.77  2.163  26
33.29  2.692  23
42.75  2.115  23
26.33  3.384  21
58.87  1.569  20
66.92  1.398  19

Starting from a cell relaxed with PBE, the PXRD pattern of Al4B2O9 was computed for Cu Kα, 1.54184 Å.
No peak broadening, texture or thermal motion is included.

Structural model:
Unit cell a=7.577 b=8.468 c=10.663 alpha=90.12 beta=98.32 gamma=109.48
Element x y z (fractional)
Al  0.000  0.000  0.000
Al  0.000  0.000  0.500
Al  0.111  0.693  0.401
Al  0.182  0.787  0.113
Al  0.269  0.291  0.058
Al  0.281  0.139  0.321
Al  0.328  0.541  0.278
Al  0.342  0.626  0.624
Al  0.500  0.000  0.000
Al  0.500  0.000  0.500
Al  0.658  0.374  0.376
Al  0.672  0.459  0.722
Al  0.719  0.861  0.679
Al  0.731  0.709  0.942
Al  0.818  0.213  0.887
Al  0.889  0.307  0.599
B  0.015  0.732  0.652
B  0.216  0.727  0.842
B  0.248  0.258  0.666
B  0.453  0.199  0.848
B  0.547  0.801  0.152
B  0.752  0.742  0.334
B  0.784  0.273  0.158
B  0.985  0.268  0.348
O  0.035  0.717  0.781
O  0.047  0.204  0.946
O  0.095  0.177  0.397
O  0.102  0.663  0.576
O  0.150  0.658  0.239
O  0.169  0.379  0.635
O  0.183  0.097  0.631
O  0.192  0.090  0.146
O  0.206  0.927  0.420
O  0.265  0.833  0.955
O  0.294  0.491  0.106
O  0.307  0.607  0.441
O  0.335  0.666  0.799
O  0.387  0.186  0.962
O  0.408  0.370  0.325
O  0.428  0.305  0.752
O  0.446  0.910  0.163
O  0.482  0.862  0.618
O  0.518  0.138  0.382
O  0.554  0.090  0.837
O  0.572  0.695  0.248
O  0.592  0.630  0.675
O  0.613  0.814  0.038
O  0.665  0.334  0.201
O  0.693  0.393  0.559
O  0.706  0.509  0.894
O  0.735  0.167  0.045
O  0.794  0.073  0.580
O  0.808  0.910  0.854
O  0.817  0.903  0.369
O  0.831  0.621  0.365
O  0.850  0.342  0.761
O  0.898  0.337  0.424
O  0.905  0.823  0.603
O  0.953  0.796  0.054
O  0.965  0.283  0.219

Most intense lines, 2θ = 15–90°, by intensity:
two_theta  d/Å  Rel. int.
20.70  4.291  100
16.16  5.486  63
27.69  3.222  57
27.35  3.261  55
29.55  3.023  48
30.97  2.888  46
29.21  3.057  44
34.74  2.582  42
19.41  4.573  34
22.30  3.986  28

Starting from a cell relaxed with PBE, the PXRD pattern of Al4B2O9 was computed for Cu Kα, 1.54184 Å.
No peak broadening, texture or thermal motion is included.

Structural model:
Unit cell a=6.812 b=2.884 c=7.876 alpha=90.00 beta=99.38 gamma=90.00
Element x y z (fractional)
Al  0.000  0.000  0.000
Al  0.182  0.500  0.666
Al  0.500  0.000  0.500
Al  0.818  0.500  0.334
B  0.235  0.500  0.220
B  0.765  0.500  0.780
O  0.000  0.500  0.500
O  0.018  0.500  0.840
O  0.250  0.000  0.133
O  0.330  0.000  0.676
O  0.351  0.500  0.381
O  0.649  0.500  0.619
O  0.670  0.000  0.324
O  0.750  0.000  0.867
O  0.982  0.500  0.160

Most intense lines, 2θ = 15–90°, by intensity:
two_theta  d/Å  Rel. int.
18.81  4.717  100
15.97  5.550  87
32.26  2.775  83
24.53  3.630  49
44.17  2.050  46
33.82  2.650  35
28.34  3.149  35
35.06  2.559  32
67.89  1.381  30
64.64  1.442  29

Starting from a cell relaxed with PBE, the PXRD pattern of AlBPbO4 was computed for Cu Kα, 1.54184 Å.
No peak broadening, texture or thermal motion is included.

Structural model:
Unit cell a=7.154 b=9.980 c=9.535 alpha=90.00 beta=90.00 gamma=90.00
Element x y z (fractional)
Al  0.000  0.000  0.000
Al  0.000  0.000  0.500
Al  0.000  0.165  0.250
Al  0.000  0.835  0.750
Al  0.500  0.335  0.750
Al  0.500  0.500  0.000
Al  0.500  0.500  0.500
Al  0.500  0.665  0.250
B  0.221  0.094  0.747
B  0.221  0.906  0.247
B  0.279  0.406  0.247
B  0.279  0.594  0.747
B  0.721  0.406  0.253
B  0.721  0.594  0.753
B  0.779  0.094  0.753
B  0.779  0.906  0.253
Pb  0.072  0.328  0.953
Pb  0.072  0.672  0.453
Pb  0.428  0.172  0.453
Pb  0.428  0.828  0.953
Pb  0.572  0.172  0.047
Pb  0.572  0.828  0.547
Pb  0.928  0.328  0.547
Pb  0.928  0.672  0.047
O  0.098  0.156  0.429
O  0.098  0.844  0.929
O  0.165  0.017  0.170
O  0.165  0.983  0.670
O  0.168  0.108  0.887
O  0.168  0.892  0.387
O  0.172  0.305  0.186
O  0.172  0.695  0.686
O  0.328  0.195  0.686
O  0.328  0.805  0.186
O  0.332  0.392  0.387
O  0.332  0.608  0.887
O  0.335  0.483  0.670
O  0.335  0.517  0.170
O  0.402  0.344  0.929
O  0.402  0.656  0.429
O  0.598  0.344  0.571
O  0.598  0.656  0.071
O  0.665  0.483  0.830
O  0.665  0.517  0.330
O  0.668  0.392  0.113
O  0.668  0.608  0.613
O  0.672  0.195  0.814
O  0.672  0.805  0.314
O  0.828  0.305  0.314
O  0.828  0.695  0.814
O  0.832  0.108  0.613
O  0.832  0.892  0.113
O  0.835  0.017  0.330
O  0.835  0.983  0.830
O  0.902  0.156  0.071
O  0.902  0.844  0.571

Most intense lines, 2θ = 15–90°, by intensity:
two_theta  d/Å  Rel. int.
28.10  3.175  100
32.11  2.787  84
18.61  4.767  80
35.21  2.549  79
29.61  3.017  77
43.10  2.099  51
17.79  4.985  51
23.66  3.761  41
51.27  1.782  40
31.26  2.861  33

Starting from a cell relaxed with PBE, the PXRD pattern of AlBPbO4 was computed for Cu Kα, 1.54184 Å.
No peak broadening, texture or thermal motion is included.

Structural model:
Unit cell a=7.064 b=5.824 c=8.173 alpha=90.00 beta=90.00 gamma=90.00
Element x y z (fractional)
Al  0.000  0.000  0.000
Al  0.000  0.500  0.000
Al  0.500  0.000  0.500
Al  0.500  0.500  0.500
B  0.227  0.250  0.258
B  0.273  0.750  0.758
B  0.727  0.250  0.242
B  0.773  0.750  0.742
Pb  0.065  0.750  0.360
Pb  0.435  0.250  0.860
Pb  0.565  0.750  0.140
Pb  0.935  0.250  0.640
O  0.098  0.250  0.891
O  0.167  0.750  0.901
O  0.172  0.045  0.185
O  0.172  0.455  0.185
O  0.328  0.545  0.685
O  0.328  0.955  0.685
O  0.333  0.250  0.401
O  0.402  0.750  0.391
O  0.598  0.250  0.609
O  0.667  0.750  0.599
O  0.672  0.045  0.315
O  0.672  0.455  0.315
O  0.828  0.545  0.815
O  0.828  0.955  0.815
O  0.833  0.250  0.099
O  0.902  0.750  0.109

Most intense lines, 2θ = 15–90°, by intensity:
two_theta  d/Å  Rel. int.
29.55  3.022  100
18.71  4.743  67
31.58  2.833  34
53.85  1.702  34
54.93  1.672  29
25.20  3.534  28
35.09  2.557  28
44.38  2.041  24
40.12  2.248  23
27.51  3.242  22